# 1
Diffraction record for PbCN2. The X-ray diffraction stick pattern is computed, not measured: it uses a DFT-relaxed cell (GGA-PBE, Alexandria) and λ = 1.5418 Å (Cu Kα).

Structural model:
Cell: 5.591 3.910 12.520 Å, 90.00 90.00 90.00°
Space group Pnma (No. 62)
Unique sites:
1 Pb 0.118 0.250 0.128
2 C 0.119 0.750 0.401
3 N 0.079 0.250 0.641
4 N 0.174 0.250 0.940

Principal peaks in the range 10 to 80 degrees two-theta, in order of rising 2θ:
2θ/deg  Rel. int.  (hkl)
17.37  54.4  1 0 1
21.31  62.7  1 0 2
23.84  44.5  0 1 1
28.52  48.8  0 0 4
28.76  45.3  1 1 1
31.36  100.0  1 1 2
32.83  27.7  2 0 1
39.63  37.7  2 1 0
46.45  25.9  0 2 0
49.55  36.3  2 1 4



# 2
Diffraction record for Mg15In2Ga2. The X-ray diffraction stick pattern is computed, not measured: it uses a DFT-relaxed cell (GGA-PBE, Alexandria) and λ = 1.5418 Å (Cu Kα).

Structural model:
Cell: 10.0452 10.0452 15.7890 Å, 90.00 90.00 120.00°
Space group R-3m (No. 166, hexagonal axes)
Unique sites:
1 Mg 0.0000 0.3310 0.0000
2 Mg 0.0000 0.5000 0.5000
3 Mg 0.0020 0.5010 0.8329
4 In 0.0000 0.0000 0.2894
5 Ga 0.0000 0.0000 0.0857

Principal peaks in the range 10 to 80 degrees two-theta, in order of rising 2θ:
2θ/deg  Rel. int.  (hkl)
15.16  48.4  0 1 2
17.66  89.9  1 1 0
24.50  39.2  1 1 3
30.11  62.6  0 1 5
30.84  100.0  3 0 0
35.12  42.1  2 0 5
35.34  96.8  3 0 3
35.75  91.5  2 2 0
38.63  53.0  1 1 6
39.57  61.2  1 2 5